1.
Structure and calculated powder X-ray diffraction pattern of Li9Mn2Co5O16 (the GGA+U geometry in the Materials Project; λ = 1.5418 Å (Cu Kα)).

Structural model:
Cell lengths 2.973, 10.011, 10.800 Å; angles 65.54, 82.51, 89.93 degrees
Element x y z (fractional)
1 Li 0.000 0.000 0.000
2 Li 0.001 0.488 0.999
3 Li 0.261 0.383 0.478
4 Li 0.264 0.878 0.478
5 Li 0.491 0.742 0.010
6 Li 0.506 0.248 0.992
7 Li 0.753 0.133 0.483
8 Li 0.767 0.628 0.477
9 Li 0.879 0.562 0.240
10 Mn 0.120 0.940 0.741
11 Mn 0.639 0.683 0.741
12 Co 0.162 0.428 0.736
13 Co 0.376 0.322 0.241
14 Co 0.385 0.804 0.237
15 Co 0.603 0.199 0.738
16 Co 0.881 0.063 0.240
17 O 0.058 0.218 0.860
18 O 0.079 0.724 0.849
19 O 0.165 0.143 0.629
20 O 0.196 0.662 0.630
21 O 0.321 0.106 0.353
22 O 0.324 0.617 0.356
23 O 0.439 0.509 0.121
24 O 0.440 0.019 0.128
25 O 0.566 0.964 0.848
26 O 0.595 0.480 0.850
27 O 0.681 0.900 0.634
28 O 0.704 0.408 0.615
29 O 0.798 0.341 0.356
30 O 0.812 0.857 0.356
31 O 0.952 0.785 0.119
32 O 0.963 0.268 0.126

The 10 most intense peaks (15 to 90 degrees two-theta), by intensity:
two_theta	intensity
18.2	100
42.7	29
43.0	29
35.6	29
44.5	25
64.0	13
36.6	12
62.5	8
62.0	8
62.8	7

2.
Structure and calculated powder X-ray diffraction pattern of CaP4WO12 (the GGA+U geometry in the Materials Project; λ = 1.5418 Å (Cu Kα)).

Structural model:
Cell lengths 7.765, 7.765, 10.977 Å; angles 115.46, 115.46, 70.83 degrees
Element x y z (fractional)
1 Ca 0.028 0.972 0.750
2 Ca 0.972 0.028 0.250
3 P 0.271 0.721 0.025
4 P 0.279 0.729 0.475
5 P 0.292 0.329 0.798
6 P 0.329 0.292 0.298
7 P 0.671 0.708 0.702
8 P 0.708 0.671 0.202
9 P 0.721 0.271 0.525
10 P 0.729 0.279 0.975
11 W 0.000 0.500 0.500
12 W 0.500 0.000 0.000
13 O 0.115 0.823 0.088
14 O 0.150 0.248 0.292
15 O 0.177 0.885 0.412
16 O 0.193 0.702 0.566
17 O 0.203 0.383 0.666
18 O 0.234 0.503 0.931
19 O 0.248 0.150 0.792
20 O 0.298 0.807 0.934
21 O 0.315 0.523 0.348
22 O 0.383 0.203 0.166
23 O 0.477 0.685 0.152
24 O 0.497 0.766 0.569
25 O 0.503 0.234 0.431
26 O 0.523 0.315 0.848
27 O 0.617 0.797 0.834
28 O 0.685 0.477 0.652
29 O 0.702 0.193 0.066
30 O 0.752 0.850 0.208
31 O 0.766 0.497 0.069
32 O 0.797 0.617 0.334
33 O 0.807 0.298 0.434
34 O 0.823 0.115 0.588
35 O 0.850 0.752 0.708
36 O 0.885 0.177 0.912

The 10 most intense peaks (15 to 90 degrees two-theta), by intensity:
two_theta	intensity
27.5	100
18.4	57
23.6	47
28.1	34
19.0	29
34.7	24
51.5	20
39.5	19
26.4	17
33.3	17

3.
Structure and calculated powder X-ray diffraction pattern of Li5Nb2V5O12 (the GGA+U geometry in the Materials Project; λ = 1.5418 Å (Cu Kα)).

Structural model:
Cell lengths 5.249, 5.249, 10.200 Å; angles 95.40, 95.40, 120.84 degrees
Element x y z (fractional)
1 Li 0.000 0.000 0.000
2 Li 0.098 0.395 0.242
3 Li 0.244 0.242 0.755
4 Li 0.605 0.902 0.758
5 Li 0.758 0.756 0.245
6 Nb 0.180 0.820 0.500
7 Nb 0.671 0.329 0.000
8 V 0.341 0.659 0.000
9 V 0.419 0.075 0.243
10 V 0.492 0.508 0.500
11 V 0.845 0.155 0.500
12 V 0.925 0.581 0.757
13 O 0.036 0.691 0.119
14 O 0.133 0.113 0.374
15 O 0.213 0.534 0.632
16 O 0.309 0.964 0.881
17 O 0.390 0.369 0.119
18 O 0.466 0.787 0.368
19 O 0.541 0.200 0.618
20 O 0.631 0.610 0.881
21 O 0.720 0.052 0.120
22 O 0.800 0.459 0.382
23 O 0.887 0.867 0.626
24 O 0.948 0.280 0.880

The 10 most intense peaks (15 to 90 degrees two-theta), by intensity:
two_theta	intensity
41.8	100
17.7	61
23.2	54
42.8	47
36.4	38
19.4	36
61.0	28
61.8	27
30.7	25
34.6	20